Diffraction record for Mg3Si3Os2. The powder diffractogram is theoretical, not measured: it uses a PBE-relaxed structure and Cu Kα (weighted mean of Kα1 and Kα2).

Main lines, in order of rising 2θ (2θ from 10° to 90°):
| index | 2θ/deg | intensity |
| --- | --- | --- |
| 0 2 0 | 13.0 | 43 |
| 1 0 1 | 20.2 | 100 |
| 2 1 0 | 23.8 | 35 |
| 0 3 1 | 25.7 | 35 |
| 1 3 1 | 28.2 | 34 |
| 2 3 0 | 30.3 | 39 |
| 1 3 2 | 40.9 | 60 |
| 3 3 1 | 43.7 | 40 |

Crystal structure
a b c (Å): 7.7642 13.6578 5.3263
angles (deg): 90.00 90.00 90.00
Space group Pnma (No. 62)
Symmetry-distinct sites (fractional):
Mg1 0.0481 0.1118 0.0987 x8
Mg2 0.2216 0.2500 0.6205 x4
Si1 0.1216 0.7500 0.5936 x4
Si2 0.1919 0.0394 0.6456 x8
Os1 0.0928 0.5948 0.4092 x8



Diffraction record for Nd2Ge6Ru. The powder diffractogram is theoretical, not measured: it uses a PBE-relaxed structure and Cu Kα (weighted mean of Kα1 and Kα2).

Main lines, in order of rising 2θ (2θ from 10° to 90°):
| index | 2θ/deg | intensity |
| --- | --- | --- |
| 0 0 8 | 31.7 | 37 |
| 1 1 3 | 32.9 | 100 |
| 1 1 5 | 36.7 | 13 |
| 2 0 0 | 42.2 | 26 |
| 0 1 9 | 42.6 | 18 |
| 0 2 0 | 45.5 | 28 |
| 0 2 8 | 56.5 | 20 |
| 2 2 0 | 63.8 | 15 |

Crystal structure
a b c (Å): 4.2792 3.9913 22.5428
angles (deg): 90.00 90.00 90.00
Space group Amm2 (No. 38)
Symmetry-distinct sites (fractional):
Nd1 0.0000 0.0000 0.0000 x2
Nd2 0.0000 0.0000 0.3375 x2
Ge1 0.0000 0.0000 0.6189 x2
Ge2 0.0000 0.0000 0.7303 x2
Ge3 0.5000 0.0000 0.1247 x2
Ge4 0.5000 0.0000 0.2361 x2
Ge5 0.5000 0.0000 0.4518 x2
Ge6 0.5000 0.0000 0.8809 x2
Ru1 0.5000 0.0000 0.5619 x2